Structure and simulated powder diffraction line list of La5ErSc (a structure optimized by DFT (PBE); a wavelength of 1.5418 Å).

Most intense lines, 2θ from 10° to 80°, sorted by position:
| two_theta | I_rel |
| --- | --- |
| 12.96 | 25 |
| 15.31 | 26 |
| 30.90 | 59 |
| 31.46 | 44 |
| 31.90 | 100 |
| 32.13 | 79 |
| 55.59 | 20 |
| 57.43 | 19 |

Cell and atoms:
```
7
Lattice="5.7883 0.0000 0.0000 -0.0146 6.4227 0.0000 -0.0135 -0.9912 6.8327" Properties=species:S:1:pos:R:3 pbc="T T T"
La 0.0000 0.0000 0.0000
La -0.0072 3.1582 1.7287
La 2.8714 4.3700 4.0842
La 2.8887 1.0615 2.7486
La 5.7674 2.2733 5.1041
Er -0.0068 -0.4956 3.4164
Sc 2.8868 3.2114 0.0000
```

Structure and simulated powder diffraction line list of LaEr3Sc7 (a structure optimized by DFT (PBE); a wavelength of 1.5418 Å).

Most intense lines, 2θ from 10° to 80°, sorted by position:
| two_theta | I_rel |
| --- | --- |
| 16.50 | 49 |
| 24.93 | 100 |
| 32.78 | 46 |
| 33.36 | 36 |
| 34.47 | 82 |
| 34.70 | 52 |
| 47.47 | 26 |
| 59.75 | 21 |

Cell and atoms:
```
11
Lattice="6.0237 -5.2534 0.0000 6.0237 5.2534 0.0000 -2.4721 0.0000 4.8735" Properties=species:S:1:pos:R:3 pbc="T T T"
La 0.0000 0.0000 0.0000
Er 4.7876 2.1810 2.4367
Er 6.0237 0.0000 0.0000
Er 4.7876 -2.1810 2.4367
Sc -1.2361 0.0000 2.4367
Sc 1.4431 1.9759 3.8009
Sc 2.8091 0.0000 1.4322
Sc 1.4431 -1.9759 3.8009
Sc 8.1321 1.9759 1.0726
Sc 6.7662 0.0000 3.4413
Sc 8.1321 -1.9759 1.0726
```

Structure and simulated powder diffraction line list of La2Er6Sc (a structure optimized by DFT (PBE); a wavelength of 1.5418 Å).

Most intense lines, 2θ from 10° to 80°, sorted by position:
| two_theta | I_rel |
| --- | --- |
| 30.59 | 56 |
| 30.69 | 54 |
| 31.05 | 53 |
| 32.17 | 100 |
| 37.95 | 59 |
| 49.80 | 23 |
| 51.42 | 14 |
| 55.98 | 31 |

Cell and atoms:
```
18
Lattice="8.1885 -5.7598 0.0000 8.1885 5.7598 0.0000 -0.7676 0.0000 5.9822" Properties=species:S:1:pos:R:3 pbc="T T T"
La 2.7798 1.2380 0.3331
La 2.3960 -1.2380 3.3242
La 13.2134 1.2380 2.6580
La 12.8296 -1.2380 5.6491
Er 7.0069 4.1124 2.9246
Er 4.3945 1.5642 3.7553
Er 8.9863 4.1124 0.0665
Er 6.3323 1.5034 1.0200
Er 4.7784 -1.5642 0.7642
Er 9.6609 1.5034 1.9711
Er 5.9485 -1.5034 4.0111
Er 10.8310 1.5642 5.2180
Er 9.2771 -1.5034 4.9622
Er 6.6231 -4.1124 5.9157
Er 11.2149 -1.5642 2.2269
Er 8.6025 -4.1124 3.0576
Sc 7.6128 1.1973 4.4866
Sc 7.9966 -1.1973 1.4955
```

Structure and simulated powder diffraction line list of La4Er5Sc (a structure optimized by DFT (PBE); a wavelength of 1.5418 Å).

Most intense lines, 2θ from 10° to 80°, sorted by position:
| two_theta | I_rel |
| --- | --- |
| 29.15 | 100 |
| 30.55 | 16 |
| 34.88 | 14 |
| 35.30 | 37 |
| 47.37 | 16 |
| 50.79 | 11 |
| 53.44 | 18 |
| 59.63 | 19 |

Cell and atoms:
```
10
Lattice="-5.3932 5.3932 2.9262 5.3932 -5.3932 2.9262 5.3932 5.3932 -2.9262" Properties=species:S:1:pos:R:3 pbc="T T T"
La 3.4492 0.0000 0.0000
La 7.3372 0.0000 0.0000
La 0.0000 3.4492 0.0000
La 0.0000 7.3372 0.0000
Er 0.0000 0.0000 1.3899
Er 3.3878 3.3878 0.0860
Er 2.0054 -2.0054 3.0122
Er -2.0054 2.0054 3.0122
Er 2.0054 2.0054 3.0122
Sc 0.0000 0.0000 4.4231
```

Structure and simulated powder diffraction line list of La2ErSc (a structure optimized by DFT (PBE); a wavelength of 1.5418 Å).

Most intense lines, 2θ from 10° to 80°, sorted by position:
| two_theta | I_rel |
| --- | --- |
| 30.63 | 100 |
| 31.54 | 30 |
| 35.78 | 65 |
| 50.90 | 24 |
| 52.10 | 21 |
| 60.58 | 14 |
| 61.12 | 28 |
| 62.19 | 12 |

Cell and atoms:
```
4
Lattice="1.7941 1.0358 11.3471 -1.7941 1.0358 11.3471 0.0000 -2.0716 11.3471" Properties=species:S:1:pos:R:3 pbc="T T T"
La 0.0000 0.0000 8.4120
La 0.0000 0.0000 25.6293
Er 0.0000 0.0000 0.0000
Sc 0.0000 0.0000 17.0207
```

Structure and simulated powder diffraction line list of LaEr4Sc3 (a structure optimized by DFT (PBE); a wavelength of 1.5418 Å).

Most intense lines, 2θ from 10° to 80°, sorted by position:
| two_theta | I_rel |
| --- | --- |
| 15.86 | 50 |
| 27.40 | 22 |
| 31.82 | 75 |
| 32.02 | 54 |
| 32.65 | 100 |
| 34.07 | 22 |
| 34.18 | 21 |
| 47.47 | 24 |

Cell and atoms:
```
8
Lattice="3.3693 0.0000 0.0000 1.6536 8.4207 0.0000 1.6746 0.9966 8.3579" Properties=species:S:1:pos:R:3 pbc="T T T"
La 0.0000 0.0000 0.0000
Er 3.3401 4.2158 7.3124
Er 3.3317 7.7628 3.3190
Er 3.3657 1.6545 5.0389
Er 3.3573 5.2015 1.0455
Sc 1.6758 2.4862 2.2070
Sc 3.3487 4.7086 4.1790
Sc 5.0216 6.9311 6.1509
```

Structure and simulated powder diffraction line list of La2SmErSc (a structure optimized by DFT (PBE); a wavelength of 1.5418 Å).

Most intense lines, 2θ from 10° to 80°, sorted by position:
| two_theta | I_rel |
| --- | --- |
| 22.29 | 19 |
| 25.64 | 18 |
| 29.72 | 100 |
| 34.23 | 30 |
| 39.26 | 35 |
| 53.06 | 17 |
| 65.17 | 13 |
| 65.36 | 21 |

Cell and atoms:
```
10
Lattice="3.2432 -7.9752 0.0000 3.2432 7.9752 0.0000 0.0000 0.0000 6.4935" Properties=species:S:1:pos:R:3 pbc="T T T"
La 1.6061 0.0000 0.0000
La 1.6061 0.0000 3.2467
La 4.8804 0.0000 0.0000
La 4.8804 0.0000 3.2467
Sm 3.2432 2.5929 4.8701
Sm 3.2432 -2.5929 1.6234
Er 3.2432 4.0115 1.6234
Er 3.2432 -4.0115 4.8701
Sc 3.2432 5.5014 4.8701
Sc 3.2432 -5.5014 1.6234
```

Structure and simulated powder diffraction line list of La2Tb5ErSc (a structure optimized by DFT (PBE); a wavelength of 1.5418 Å).

Most intense lines, 2θ from 10° to 80°, sorted by position:
| two_theta | I_rel |
| --- | --- |
| 26.90 | 27 |
| 27.87 | 14 |
| 30.64 | 34 |
| 32.08 | 44 |
| 32.31 | 100 |
| 34.42 | 12 |
| 57.33 | 20 |
| 62.05 | 13 |

Cell and atoms:
```
18
Lattice="2.7901 -10.0926 0.0000 2.7901 10.0926 0.0000 0.0000 0.0000 10.4223" Properties=species:S:1:pos:R:3 pbc="T T T"
La 2.7901 7.7888 5.2111
La 2.7901 7.7533 9.6178
La 2.7901 -7.7533 4.4067
La 2.7901 -7.7888 0.0000
Tb 2.7901 9.7946 2.1101
Tb 2.7901 4.5616 5.2860
Tb 2.7901 4.1158 9.2546
Tb 2.7901 2.5725 2.1437
Tb 2.7901 0.3002 9.6881
Tb 2.7901 -0.3002 4.4770
Tb 2.7901 -2.5725 7.3548
Tb 2.7901 -4.1158 4.0434
Tb 2.7901 -4.5616 0.0749
Tb 2.7901 -9.7946 7.3213
Er 2.7901 1.9053 6.7828
Er 2.7901 -1.9053 1.5716
Sc 2.7901 6.1239 2.0932
Sc 2.7901 -6.1239 7.3043
```